(1)
This entry pairs a crystal structure of Na3Ga6Ag5 with its simulated powder diffraction line list. Radiation: λ = 1.5418 Å (Cu Kα). Structure: DFT lattice parameters and positions (GGA-PBE).
No peak broadening, texture or thermal motion is included.

Most intense lines, 2θ = 10–80°, by intensity:
38.80 deg, d = 2.321 Å, rel. 100; 44.41 deg, d = 2.040 Å, rel. 91; 36.37 deg, d = 2.470 Å, rel. 90; 23.11 deg, d = 3.848 Å, rel. 87; 42.02 deg, d = 2.150 Å, rel. 83; 21.14 deg, d = 4.202 Å, rel. 74

Unit cell a=4.642 b=9.891 c=12.531 alpha=90.00 beta=90.00 gamma=90.00
Space group Immm (No. 71)
One atom of each set of equivalent atoms:
Na 0.000 0.000 0.000 [2 per cell]
Na 0.000 0.000 0.287 [4 per cell]
Ga 0.000 0.169 0.500 [4 per cell]
Ga 0.000 0.280 0.131 [8 per cell]
Ag 0.000 0.355 0.340 [8 per cell]
Ag 0.000 0.500 0.000 [2 per cell]

=====

(2)
This entry pairs a crystal structure of NaGaAg4 with its simulated powder diffraction line list. Radiation: λ = 1.5418 Å (Cu Kα). Structure: DFT lattice parameters and positions (GGA-PBE).
No peak broadening, texture or thermal motion is included.

Most intense lines, 2θ = 10–80°, by intensity:
37.87 deg, d = 2.376 Å, rel. 100; 38.16 deg, d = 2.358 Å, rel. 96; 14.07 deg, d = 6.296 Å, rel. 90; 39.20 deg, d = 2.298 Å, rel. 78; 41.83 deg, d = 2.160 Å, rel. 71; 38.07 deg, d = 2.364 Å, rel. 52

Unit cell a=5.264 b=7.171 c=7.466 alpha=61.78 beta=71.89 gamma=84.14
Space group P-1 (No. 2)
One atom of each set of equivalent atoms:
Na 0.246 0.171 0.427 [2 per cell]
Ga 0.268 0.000 0.942 [2 per cell]
Ag 0.028 0.377 0.730 [2 per cell]
Ag 0.141 0.713 0.830 [2 per cell]
Ag 0.368 0.723 0.418 [2 per cell]
Ag 0.445 0.352 0.939 [2 per cell]

=====

(3)
This entry pairs a crystal structure of NaGa6AgTe10 with its simulated powder diffraction line list. Radiation: λ = 1.5418 Å (Cu Kα). Structure: DFT lattice parameters and positions (GGA-PBE).
No peak broadening, texture or thermal motion is included.

Most intense lines, 2θ = 10–80°, by intensity:
25.36 deg, d = 3.512 Å, rel. 100; 28.27 deg, d = 3.157 Å, rel. 69; 25.76 deg, d = 3.458 Å, rel. 63; 25.55 deg, d = 3.487 Å, rel. 57; 44.18 deg, d = 2.050 Å, rel. 37; 26.89 deg, d = 3.315 Å, rel. 32

Unit cell a=14.719 b=14.778 c=10.539 alpha=90.00 beta=91.02 gamma=90.00
Space group C2 (No. 5)
One atom of each set of equivalent atoms:
Na 0.000 0.000 0.000 [2 per cell]
Na 0.000 0.240 0.500 [2 per cell]
Ga 0.044 0.449 0.164 [4 per cell]
Ga 0.044 0.955 0.659 [4 per cell]
Ga 0.140 0.765 0.422 [4 per cell]
Ga 0.208 0.377 0.882 [4 per cell]
Ga 0.226 0.093 0.841 [4 per cell]
Ga 0.249 0.330 0.249 [4 per cell]
Ag 0.150 0.585 0.673 [4 per cell]
Te 0.000 0.573 0.000 [2 per cell]
Te 0.000 0.664 0.500 [2 per cell]
Te 0.058 0.120 0.751 [4 per cell]
Te 0.082 0.828 0.824 [4 per cell]
Te 0.093 0.404 0.686 [4 per cell]
Te 0.121 0.294 0.070 [4 per cell]
Te 0.129 0.945 0.432 [4 per cell]
Te 0.169 0.745 0.170 [4 per cell]
Te 0.181 0.492 0.325 [4 per cell]
Te 0.216 0.038 0.082 [4 per cell]
Te 0.223 0.208 0.429 [4 per cell]

=====

(4)
This entry pairs a crystal structure of NdGa3Ag3 with its simulated powder diffraction line list. Radiation: λ = 1.5418 Å (Cu Kα). Structure: DFT lattice parameters and positions (GGA-PBE).
No peak broadening, texture or thermal motion is included.

Most intense lines, 2θ = 10–80°, by intensity:
37.43 deg, d = 2.403 Å, rel. 100; 34.49 deg, d = 2.600 Å, rel. 52; 41.51 deg, d = 2.175 Å, rel. 47; 34.96 deg, d = 2.567 Å, rel. 40; 42.28 deg, d = 2.138 Å, rel. 39; 29.86 deg, d = 2.992 Å, rel. 19

Unit cell a=6.591 b=4.351 c=9.953 alpha=90.00 beta=102.17 gamma=90.00
Space group P2_1/m (No. 11)
One atom of each set of equivalent atoms:
Nd 0.233 0.250 0.401 [2 per cell]
Ga 0.084 0.750 0.112 [2 per cell]
Ga 0.094 0.250 0.680 [2 per cell]
Ga 0.303 0.750 0.624 [2 per cell]
Ag 0.191 0.750 0.868 [2 per cell]
Ag 0.347 0.250 0.050 [2 per cell]
Ag 0.490 0.750 0.232 [2 per cell]

=====

(5)
This entry pairs a crystal structure of Nd3Ga2Ag with its simulated powder diffraction line list. Radiation: λ = 1.5418 Å (Cu Kα). Structure: DFT lattice parameters and positions (GGA-PBE).
No peak broadening, texture or thermal motion is included.

Most intense lines, 2θ = 10–80°, by intensity:
33.94 deg, d = 2.642 Å, rel. 100; 34.10 deg, d = 2.629 Å, rel. 99; 60.93 deg, d = 1.520 Å, rel. 36; 48.87 deg, d = 1.864 Å, rel. 35; 61.04 deg, d = 1.518 Å, rel. 18; 60.63 deg, d = 1.527 Å, rel. 18

Unit cell a=5.2590 b=5.2590 c=12.9705 alpha=90.00 beta=90.00 gamma=120.00
Space group P-3m1 (No. 164)
One atom of each set of equivalent atoms:
Nd 0.0000 0.0000 0.2439 [2 per cell]
Nd 0.3333 0.6667 0.4149 [2 per cell]
Nd 0.3333 0.6667 0.9203 [2 per cell]
Ga 0.0000 0.0000 0.0000 [1 per cell]
Ga 0.0000 0.0000 0.5000 [1 per cell]
Ga 0.3333 0.6667 0.1704 [2 per cell]
Ag 0.3333 0.6667 0.6702 [2 per cell]

=====

(6)
This entry pairs a crystal structure of NdGa12Ag6 with its simulated powder diffraction line list. Radiation: λ = 1.5418 Å (Cu Kα). Structure: DFT lattice parameters and positions (GGA-PBE).
No peak broadening, texture or thermal motion is included.

Most intense lines, 2θ = 10–80°, by intensity:
31.95 deg, d = 2.801 Å, rel. 100; 43.55 deg, d = 2.078 Å, rel. 90; 40.23 deg, d = 2.242 Å, rel. 89; 33.48 deg, d = 2.676 Å, rel. 81; 41.73 deg, d = 2.165 Å, rel. 80; 38.93 deg, d = 2.313 Å, rel. 63

Unit cell a=11.6038 b=11.6038 c=9.5946 alpha=90.00 beta=90.00 gamma=120.00
Space group R-3m (No. 166, hexagonal axes)
One atom of each set of equivalent atoms:
Nd 0.0000 0.0000 0.0000 [3 per cell]
Ga 0.0000 0.3938 0.5000 [18 per cell]
Ga 0.0804 0.1609 0.2954 [18 per cell]
Ag 0.0555 0.5278 0.2248 [18 per cell]

=====

(7)
This entry pairs a crystal structure of Nd2Ga6Ag3 with its simulated powder diffraction line list. Radiation: λ = 1.5418 Å (Cu Kα). Structure: DFT lattice parameters and positions (GGA-PBE).
No peak broadening, texture or thermal motion is included.

Most intense lines, 2θ = 10–80°, by intensity:
32.29 deg, d = 2.773 Å, rel. 100; 33.17 deg, d = 2.701 Å, rel. 30; 43.95 deg, d = 2.060 Å, rel. 29; 35.94 deg, d = 2.499 Å, rel. 23; 53.41 deg, d = 1.715 Å, rel. 20; 35.77 deg, d = 2.511 Å, rel. 17

Unit cell a=9.879 b=11.510 c=4.121 alpha=90.00 beta=90.00 gamma=90.00
Space group Cmmm (No. 65)
One atom of each set of equivalent atoms:
Nd 0.000 0.204 0.000 [4 per cell]
Ga 0.119 0.000 0.500 [4 per cell]
Ga 0.197 0.345 0.500 [8 per cell]
Ag 0.000 0.500 0.500 [2 per cell]
Ag 0.209 0.500 0.000 [4 per cell]

=====

(8)
This entry pairs a crystal structure of NdGa2Ag with its simulated powder diffraction line list. Radiation: λ = 1.5418 Å (Cu Kα). Structure: DFT lattice parameters and positions (GGA-PBE).
No peak broadening, texture or thermal motion is included.

Most intense lines, 2θ = 10–80°, by intensity:
32.93 deg, d = 2.720 Å, rel. 100; 40.74 deg, d = 2.215 Å, rel. 70; 69.24 deg, d = 1.357 Å, rel. 28; 53.34 deg, d = 1.717 Å, rel. 25; 25.94 deg, d = 3.435 Å, rel. 21; 54.70 deg, d = 1.678 Å, rel. 15

Unit cell a=4.4294 b=4.4294 c=15.4294 alpha=90.00 beta=90.00 gamma=120.00
Space group R-3m (No. 166, hexagonal axes)
One atom of each set of equivalent atoms:
Nd 0.0000 0.0000 0.0000 [3 per cell]
Ga 0.0000 0.0000 0.2182 [6 per cell]
Ag 0.0000 0.0000 0.5000 [3 per cell]

=====

(9)
This entry pairs a crystal structure of GaAg5O4 with its simulated powder diffraction line list. Radiation: λ = 1.5418 Å (Cu Kα). Structure: DFT lattice parameters and positions (GGA-PBE).
No peak broadening, texture or thermal motion is included.

Most intense lines, 2θ = 10–80°, by intensity:
35.42 deg, d = 2.534 Å, rel. 100; 39.55 deg, d = 2.279 Å, rel. 99; 33.41 deg, d = 2.682 Å, rel. 54; 34.42 deg, d = 2.606 Å, rel. 48; 41.64 deg, d = 2.169 Å, rel. 46; 58.11 deg, d = 1.587 Å, rel. 28

Unit cell a=13.345 b=3.122 c=6.669 alpha=90.00 beta=102.75 gamma=90.00
Space group C2/m (No. 12)
One atom of each set of equivalent atoms:
Ga 0.000 0.000 0.000 [2 per cell]
Ag 0.000 0.000 0.500 [2 per cell]
Ag 0.173 0.500 0.372 [4 per cell]
Ag 0.178 0.500 0.811 [4 per cell]
O 0.010 0.500 0.799 [4 per cell]
O 0.151 0.000 0.096 [4 per cell]

=====

(10)
This entry pairs a crystal structure of PrGaAg2O4 with its simulated powder diffraction line list. Radiation: λ = 1.5418 Å (Cu Kα). Structure: DFT lattice parameters and positions (GGA-PBE).
No peak broadening, texture or thermal motion is included.

Most intense lines, 2θ = 10–80°, by intensity:
35.21 deg, d = 2.549 Å, rel. 100; 28.06 deg, d = 3.179 Å, rel. 44; 41.01 deg, d = 2.201 Å, rel. 38; 29.29 deg, d = 3.049 Å, rel. 37; 54.42 deg, d = 1.686 Å, rel. 32; 55.85 deg, d = 1.646 Å, rel. 30

Unit cell a=6.099 b=6.252 c=6.359 alpha=90.00 beta=90.00 gamma=90.00
Space group I222 (No. 23)
One atom of each set of equivalent atoms:
Pr 0.000 0.000 0.000 [2 per cell]
Ga 0.000 0.500 0.000 [2 per cell]
Ag 0.000 0.231 0.500 [4 per cell]
O 0.173 0.306 0.844 [8 per cell]

=====

(11)
This entry pairs a crystal structure of Sc4GaAgO with its simulated powder diffraction line list. Radiation: λ = 1.5418 Å (Cu Kα). Structure: DFT lattice parameters and positions (GGA-PBE).
No peak broadening, texture or thermal motion is included.

Most intense lines, 2θ = 10–80°, by intensity:
38.99 deg, d = 2.310 Å, rel. 100; 41.57 deg, d = 2.173 Å, rel. 73; 29.06 deg, d = 3.072 Å, rel. 57; 31.80 deg, d = 2.814 Å, rel. 44; 38.21 deg, d = 2.355 Å, rel. 37; 21.41 deg, d = 4.150 Å, rel. 23

Unit cell a=6.152 b=14.012 c=6.137 alpha=90.00 beta=90.00 gamma=90.00
Space group Cmcm (No. 63)
One atom of each set of equivalent atoms:
Sc 0.000 0.076 0.250 [4 per cell]
Sc 0.000 0.422 0.250 [4 per cell]
Sc 0.250 0.250 0.000 [8 per cell]
Ga 0.000 0.380 0.750 [4 per cell]
Ag 0.000 0.115 0.750 [4 per cell]
O 0.000 0.251 0.250 [4 per cell]

=====

(12)
This entry pairs a crystal structure of Ga2SiAgO6 with its simulated powder diffraction line list. Radiation: λ = 1.5418 Å (Cu Kα). Structure: DFT lattice parameters and positions (GGA-PBE).
No peak broadening, texture or thermal motion is included.

Most intense lines, 2θ = 10–80°, by intensity:
26.48 deg, d = 3.366 Å, rel. 100; 33.77 deg, d = 2.654 Å, rel. 92; 28.92 deg, d = 3.088 Å, rel. 92; 34.39 deg, d = 2.608 Å, rel. 67; 21.68 deg, d = 4.099 Å, rel. 61; 33.01 deg, d = 2.714 Å, rel. 59

Unit cell a=9.124 b=11.155 c=5.653 alpha=90.00 beta=116.04 gamma=90.00
Space group C2/c (No. 15)
One atom of each set of equivalent atoms:
Ga 0.135 0.082 0.164 [8 per cell]
Si 0.000 0.309 0.750 [4 per cell]
Ag 0.000 0.396 0.250 [4 per cell]
O 0.099 0.237 0.025 [8 per cell]
O 0.120 0.402 0.680 [8 per cell]
O 0.126 0.060 0.485 [8 per cell]

=====

Q: Number 1 is which compound?
A: Na3Ga6Ag5

=====

Q: Number 8 is which compound?
A: NdGa2Ag